# Mg6BWO8
Theoretical powder XRD pattern, Cu Kα (λ = 1.5418 Å). Input: a cell relaxed with PBE+U.
Peak positions follow from Bragg's law for the DFT cell and can differ from measured ones.

Atomic structure:
```
data_Mg6BWO8
_chemical_formula_sum 'Mg6 B1 W1 O8'
_cell_length_a 4.306
_cell_length_b 4.306
_cell_length_c 8.957
_cell_angle_alpha 90.00
_cell_angle_beta 90.00
_cell_angle_gamma 90.00
_symmetry_space_group_name_H-M 'P 4/m m m'
_symmetry_Int_Tables_number 123
_symmetry_space_group_name_Hall '-P 4 2'
loop_
_atom_site_label
_atom_site_fract_x
_atom_site_fract_y
_atom_site_fract_z
_atom_site_occupancy
Mg1 0.000 0.000 0.000 1
Mg2 0.000 0.000 0.500 1
Mg3 0.000 0.500 0.229 1
B1 0.500 0.500 0.000 1
W1 0.500 0.500 0.500 1
O1 0.000 0.000 0.250 1
O2 0.000 0.500 0.000 1
O3 0.000 0.500 0.500 1
O4 0.500 0.500 0.261 1
```

The 10 most intense peaks (2θ = 10–90°), by intensity:
hkl 1 0 1, 2θ 22.92, rel. 100; hkl 2 0 0, 2θ 41.97, rel. 75; hkl 1 1 1, 2θ 31.02, rel. 55; hkl 1 1 2, 2θ 35.66, rel. 46; hkl 2 0 4, 2θ 59.57, rel. 45; hkl 1 0 0, 2θ 20.63, rel. 40; hkl 0 0 4, 2θ 40.28, rel. 40; hkl 1 0 2, 2θ 28.76, rel. 36; hkl 2 1 1, 2θ 48.35, rel. 29; hkl 1 0 3, 2θ 36.63, rel. 28